# Li3SiN3
Simulated powder XRD pattern, copper Kα. Input: a PBE-relaxed structure.

Structure:
Lattice parameters (Å, degrees): 6.4200 8.2207 5.5392 90.00 94.35 90.00
Space group C2/m (No. 12)
Symmetry-distinct sites (fractional):
Li1 0.0000 0.2007 0.0000 (multiplicity 4)
Li2 0.0000 0.2972 0.5000 (multiplicity 4)
Li3 0.1507 0.0000 0.3892 (multiplicity 4)
Si1 0.1606 0.5000 0.1204 (multiplicity 4)
N1 0.0993 0.5000 0.8050 (multiplicity 4)
N2 0.1471 0.1123 0.7257 (multiplicity 8)

Principal peaks in the range 2θ from 10° to 90°, in order of falling intensity:
2θ/deg	I/Imax	index
23.1	100	1 1 -1
21.6	75	0 2 0
35.6	26	1 3 0
16.0	24	0 0 1
27.0	18	0 2 1
17.6	15	1 1 0
49.7	11	1 3 2
45.8	11	3 1 -1
39.8	10	1 3 1
36.1	9	1 1 -2